BaPa3Pt4S12: simulated XRD peak list (Cu Kα (weighted mean of Kα1 and Kα2)), based on DFT lattice parameters and positions (PBE).

Most intense lines, 15 to 90 degrees two-theta, sorted by position:
21.91 deg, I 45
22.53 deg, I 100
28.19 deg, I 27
29.01 deg, I 39
36.77 deg, I 30
49.13 deg, I 27

Structural model:
Unit cell a=8.5164 b=8.5164 c=8.5164 alpha=103.46 beta=103.46 gamma=103.46
Atoms (fractional coordinates):
Ba 0.0000 0.0000 0.0000
Pa 0.0000 0.5646 0.4354
Pa 0.4354 0.0000 0.5646
Pa 0.5646 0.4354 0.0000
Pt 0.0785 0.5000 0.9215
Pt 0.5000 0.5000 0.5000
Pt 0.5000 0.9215 0.0785
Pt 0.9215 0.0785 0.5000
S 0.0013 0.2504 0.3476
S 0.0904 0.9096 0.5000
S 0.2504 0.3476 0.0013
S 0.3319 0.6681 0.5000
S 0.3476 0.0013 0.2504
S 0.5000 0.0904 0.9096
S 0.5000 0.3319 0.6681
S 0.6524 0.7496 0.9987
S 0.6681 0.5000 0.3319
S 0.7496 0.9987 0.6524
S 0.9096 0.5000 0.0904
S 0.9987 0.6524 0.7496